This entry pairs a crystal structure of Sm4CoIr with its theoretical powder diffractogram. Radiation: Cu Kα X-rays. Structure: DFT lattice parameters and positions (PBE).
Intensities are scaled so that the largest is 100.

Top 10 peaks for 10° ≤ 2θ ≤ 90°, most intense first:
d/Å	2theta	I/Imax
3.099	28.81	100
2.396	37.54	56
1.933	47.01	51
4.626	19.18	46
2.926	30.55	36
2.313	38.94	33
2.087	43.37	20
1.549	59.68	19
1.167	82.73	18
1.854	49.15	16

Atomic structure:
```
data_Sm4CoIr
_chemical_formula_sum 'Sm16 Co4 Ir4'
_space_group_name_H-M_alt 'I 41 m d'
_space_group_IT_number 109
_space_group_name_Hall 'I 4bw -2'
_cell_length_a 9.2530
_cell_length_b 9.2530
_cell_length_c 8.3461
_cell_angle_alpha 90.00
_cell_angle_beta 90.00
_cell_angle_gamma 90.00
loop_
_atom_site_label
_atom_site_type_symbol
_atom_site_fract_x
_atom_site_fract_y
_atom_site_fract_z
Sm1 Sm 0.0000 0.1960 0.0000
Sm2 Sm 0.0000 0.2001 0.4862
Co1 Co 0.0000 0.0000 0.2445
Ir1 Ir 0.0000 0.0000 0.7417
```